(1)
Structure and simulated PXRD pattern of TbSmAs2Pt2 (a GGA-PBE-relaxed structure; CuKα).
No peak broadening, texture or thermal motion is included.

Cell and atoms:
Lattice parameters (Å, degrees): 4.3160 4.3160 15.4295 90.00 90.00 120.00
Space group P6_3/mmc (No. 194)
Unique sites:
Tb 0.0000 0.0000 0.2500
Sm 0.0000 0.0000 0.0000
As 0.3333 0.6667 0.1182
Pt 0.3333 0.6667 0.6385

Main lines, low angle first (2θ from 10° to 80°):
- 24.5°, rel. 18, (1 0 1)
- 33.4°, rel. 100, (1 0 4)
- 37.8°, rel. 13, (1 0 5)
- 41.9°, rel. 60, (1 1 0)
- 47.1°, rel. 11, (0 0 8)
- 54.6°, rel. 25, (2 0 4)
- 64.8°, rel. 26, (1 1 8)
- 71.1°, rel. 23, (2 1 4)
- 76.5°, rel. 10, (3 0 0)
- 78.7°, rel. 6, (1 0 12)


(2)
Structure and simulated PXRD pattern of Zr3As2Pt2 (a GGA-PBE-relaxed structure; CuKα).
No peak broadening, texture or thermal motion is included.

Cell and atoms:
Lattice parameters (Å, degrees): 4.6542 4.6542 22.5044 90.00 90.00 120.00
Space group R3m (No. 160, hexagonal axes)
Unique sites:
Zr 0.0000 0.0000 0.0000
Zr 0.0000 0.0000 0.2456
Zr 0.0000 0.0000 0.4922
As 0.0000 0.0000 0.1214
As 0.0000 0.0000 0.6202
Pt 0.0000 0.0000 0.3730
Pt 0.0000 0.0000 0.8549

Main lines, low angle first (2θ from 10° to 80°):
- 23.4°, rel. 29, (0 1 2)
- 23.7°, rel. 13, (0 0 6)
- 27.2°, rel. 24, (1 0 4)
- 29.8°, rel. 12, (0 1 5)
- 38.7°, rel. 100, (1 1 0)
- 39.0°, rel. 85, (0 1 8)
- 45.9°, rel. 14, (1 1 6)
- 56.1°, rel. 29, (2 0 8)
- 70.0°, rel. 17, (3 0 0)
- 70.3°, rel. 30, (1 2 8)


(3)
Structure and simulated PXRD pattern of Rb4Zn7As7 (a GGA-PBE-relaxed structure; CuKα).
No peak broadening, texture or thermal motion is included.

Cell and atoms:
Lattice parameters (Å, degrees): 4.134 25.192 17.838 90.00 90.00 90.00
Space group Cmcm (No. 63)
Unique sites:
Rb 0.000 0.000 0.000
Rb 0.000 0.139 0.116
Rb 0.000 0.282 0.250
Zn 0.000 0.012 0.750
Zn 0.000 0.151 0.599
Zn 0.000 0.282 0.034
Zn 0.000 0.426 0.164
As 0.000 0.111 0.750
As 0.000 0.252 0.605
As 0.000 0.388 0.037
As 0.000 0.471 0.679

Main lines, low angle first (2θ from 10° to 80°):
- 12.2°, rel. 63, (0 2 2)
- 26.0°, rel. 46, (0 2 5)
- 28.4°, rel. 92, (0 8 0)
- 30.9°, rel. 29, (0 2 6)
- 31.4°, rel. 100, (1 3 4)
- 33.0°, rel. 84, (1 7 0)
- 37.4°, rel. 36, (1 1 6)
- 41.2°, rel. 43, (0 10 4)
- 43.8°, rel. 61, (2 0 0)
- 46.4°, rel. 35, (1 1 8)


(4)
Structure and simulated PXRD pattern of Rb3ZrAs2 (a GGA-PBE-relaxed structure; CuKα).
No peak broadening, texture or thermal motion is included.

Cell and atoms:
Lattice parameters (Å, degrees): 8.357 15.802 6.983 90.00 90.00 90.00
Space group Ibam (No. 72)
Unique sites:
Rb 0.000 0.000 0.250
Rb 0.205 0.310 0.000
Zr 0.000 0.500 0.250
As 0.178 0.409 0.500

Main lines, low angle first (2θ from 10° to 80°):
- 11.2°, rel. 41, (0 2 0)
- 12.0°, rel. 35, (1 1 0)
- 24.1°, rel. 62, (2 2 0)
- 27.9°, rel. 41, (0 2 2)
- 28.1°, rel. 100, (1 4 1)
- 30.2°, rel. 29, (2 3 1)
- 31.2°, rel. 28, (2 4 0)
- 33.4°, rel. 76, (2 0 2)
- 34.3°, rel. 30, (0 4 2)
- 52.4°, rel. 29, (0 0 4)